Simulated powder diffraction line list
Compound: PmScSbSe
Radiation: copper Kα
Structure: a DFT-relaxed cell (GGA-PBE, Alexandria)

Top 12 peaks for 5 to 70 degrees two-theta, in order of falling intensity:
32.54 deg, I = 100, hkl 0 1 5
44.36 deg, I = 56, hkl 1 1 0
38.41 deg, I = 48, hkl 1 0 7
26.48 deg, I = 45, hkl 0 1 2
30.08 deg, I = 39, hkl 1 0 4
69.01 deg, I = 24, hkl 1 1 12
25.51 deg, I = 22, hkl 1 0 1
56.08 deg, I = 21, hkl 2 0 5
12.12 deg, I = 18, hkl 0 0 3
60.09 deg, I = 13, hkl 0 2 7
59.05 deg, I = 12, hkl 1 1 9
48.91 deg, I = 11, hkl 1 0 10

Crystal structure
```
data_PmScSbSe
_chemical_formula_sum 'Pm3 Sc3 Sb3 Se3'
_symmetry_space_group_name_H-M 'R 3 m'
_symmetry_Int_Tables_number 160
_symmetry_space_group_name_Hall 'R 3 -2"'
_cell_length_a 4.0844
_cell_length_b 4.0844
_cell_length_c 21.9027
_cell_angle_alpha 90.00
_cell_angle_beta 90.00
_cell_angle_gamma 120.00
loop_
_atom_site_label
_atom_site_type_symbol
_atom_site_fract_x
_atom_site_fract_y
_atom_site_fract_z
Pm1 Pm 0.0000 0.0000 0.0000
Sc1 Sc 0.0000 0.0000 0.1661
Sb1 Sb 0.0000 0.0000 0.5742
Se1 Se 0.0000 0.0000 0.7574
```

***

Simulated powder diffraction line list
Compound: PmTmSc2Sb4
Radiation: copper Kα
Structure: a DFT-relaxed cell (GGA-PBE, Alexandria)

Top 12 peaks for 5 to 70 degrees two-theta, in order of falling intensity:
29.43 deg, I = 100, hkl 1 1 1
42.10 deg, I = 74, hkl 0 2 0
52.17 deg, I = 20, hkl 2 2 -2
69.17 deg, I = 17, hkl 1 3 1
69.27 deg, I = 15, hkl 4 2 0
24.30 deg, I = 12, hkl 1 0 -2
61.06 deg, I = 12, hkl 2 2 2
32.15 deg, I = 10, hkl 2 1 -1
12.65 deg, I = 9, hkl 1 0 0
52.29 deg, I = 6, hkl 4 0 0
58.41 deg, I = 6, hkl 4 1 -3
38.59 deg, I = 4, hkl 3 0 0

Crystal structure
```
data_PmTmSc2Sb4
_chemical_formula_sum 'Pm1 Tm1 Sc2 Sb4'
_symmetry_space_group_name_H-M 'P 1 2/m 1'
_symmetry_Int_Tables_number 10
_symmetry_space_group_name_Hall '-P 2y'
_cell_length_a 7.4248
_cell_length_b 4.2970
_cell_length_c 7.4382
_cell_angle_alpha 90.00
_cell_angle_beta 109.53
_cell_angle_gamma 90.00
loop_
_atom_site_label
_atom_site_type_symbol
_atom_site_fract_x
_atom_site_fract_y
_atom_site_fract_z
Pm1 Pm 0.0000 0.0000 0.0000
Tm1 Tm 0.0000 0.5000 0.5000
Sc1 Sc 0.5000 0.0000 0.5000
Sc2 Sc 0.5000 0.5000 0.0000
Sb1 Sb 0.2650 0.0000 0.7500
Sb2 Sb 0.2686 0.5000 0.2611
```

***

Simulated powder diffraction line list
Compound: PmTl3Sb2Se6
Radiation: copper Kα
Structure: a DFT-relaxed cell (GGA-PBE, Alexandria)

Top 12 peaks for 5 to 70 degrees two-theta, in order of falling intensity:
28.79 deg, I = 100, hkl 1 3 1
39.82 deg, I = 37, hkl 2 0 2
42.47 deg, I = 36, hkl 0 6 0
52.12 deg, I = 19, hkl 4 0 0
25.38 deg, I = 17, hkl 2 0 0
59.63 deg, I = 11, hkl 4 0 -4
69.42 deg, I = 11, hkl 4 6 0
65.65 deg, I = 9, hkl 3 3 -5
23.26 deg, I = 9, hkl 0 0 2
31.12 deg, I = 7, hkl 2 0 1
47.56 deg, I = 6, hkl 0 0 4
46.63 deg, I = 6, hkl 1 3 3

Crystal structure
```
data_PmTl3Sb2Se6
_chemical_formula_sum 'Pm2 Tl6 Sb4 Se12'
_symmetry_space_group_name_H-M 'C 1 2/m 1'
_symmetry_Int_Tables_number 12
_symmetry_space_group_name_Hall '-C 2y'
_cell_length_a 7.3757
_cell_length_b 12.7650
_cell_length_c 8.0321
_cell_angle_alpha 90.00
_cell_angle_beta 107.80
_cell_angle_gamma 90.00
loop_
_atom_site_label
_atom_site_type_symbol
_atom_site_fract_x
_atom_site_fract_y
_atom_site_fract_z
Pm1 Pm 0.0000 0.0000 0.0000
Tl1 Tl 0.0000 0.1644 0.5000
Tl2 Tl 0.0000 0.5000 0.5000
Sb1 Sb 0.0000 0.3337 0.0000
Se1 Se 0.2301 0.5000 0.2068
Se2 Se 0.2395 0.1691 0.2100
```